1.
Structure and simulated X-ray powder pattern of LiMg6B (a DFT-relaxed cell (PBE, the Materials Project); λ = 1.5418 Å (Cu Kα)).
Lines closer than 0.1° are merged.

Most intense lines, 2θ = 10–80°, in order of rising 2θ:
2θ 25.3, I 15.7; 2θ 25.8, I 10.9; 2θ 32.5, I 11.6; 2θ 34.2, I 22.2; 2θ 35.2, I 10.9; 2θ 38.1, I 100.0; 2θ 39.4, I 28.0; 2θ 39.6, I 22.5; 2θ 53.1, I 12.0; 2θ 70.6, I 14.7

Structure:
```
LiMg6B
1.0
4.5765 0.0000 0.0000
0.0000 3.2370 5.2433
0.0000 -3.2370 5.2433
Li Mg B
1 6 1
Cartesian
0.0000 0.0000 0.0000
0.0000 0.0000 5.3315
0.0000 -1.4301 8.0575
0.0000 1.4301 8.0575
2.2882 -1.7273 5.9217
2.2882 0.0000 3.4117
2.2882 1.7273 5.9217
2.2882 0.0000 9.0106
```


2.
Structure and simulated X-ray powder pattern of LiMg14B (a DFT-relaxed cell (PBE, the Materials Project); λ = 1.5418 Å (Cu Kα)).
Lines closer than 0.1° are merged.

Most intense lines, 2θ = 10–80°, in order of rising 2θ:
2θ 32.9, I 17.8; 2θ 33.3, I 17.8; 2θ 35.9, I 31.2; 2θ 37.6, I 100.0; 2θ 38.0, I 33.8; 2θ 58.5, I 9.4; 2θ 59.3, I 12.9; 2θ 65.7, I 12.3; 2θ 71.3, I 11.7; 2θ 71.9, I 9.1

Structure:
```
LiMg14B
1.0
10.0045 0.0000 0.0000
0.0000 3.1556 5.3784
0.0000 -3.1556 5.3784
Li Mg B
1 14 1
Cartesian
0.0000 0.0000 0.0000
0.0000 -1.5610 7.7943
0.0000 1.5610 7.7943
2.1781 -1.5006 4.6407
2.1781 1.5006 4.6407
2.4460 0.0000 7.2544
2.5500 0.0000 1.8781
5.0023 0.0000 0.0347
5.0023 -1.5912 2.7912
5.0023 0.0000 5.4343
5.0023 1.5912 2.7912
7.4545 0.0000 1.8781
7.5586 0.0000 7.2544
7.8264 -1.5006 4.6407
7.8264 1.5006 4.6407
0.0000 0.0000 5.6997
```


3.
Structure and simulated X-ray powder pattern of LiMg9B20 (a DFT-relaxed cell (PBE, the Materials Project); λ = 1.5418 Å (Cu Kα)).
Lines closer than 0.1° are merged.

Most intense lines, 2θ = 10–80°, in order of rising 2θ:
2θ 33.7, I 36.6; 2θ 42.6, I 100.0; 2θ 42.7, I 50.2; 2θ 52.0, I 19.9; 2θ 60.3, I 24.4; 2θ 60.4, I 12.1; 2θ 63.4, I 8.7; 2θ 63.6, I 4.3; 2θ 76.6, I 15.6; 2θ 76.8, I 3.8

Structure:
```
LiMg9B20
1.0
6.1397 0.0000 0.0000
-3.0660 6.3765 0.0000
-1.5155 -1.6754 7.3208
Li Mg B
1 9 20
Cartesian
0.0000 0.0000 0.0000
-1.5216 0.2647 4.4037
4.6205 2.1994 1.4515
-3.0623 2.5016 5.8694
3.0799 4.4364 2.9171
1.5294 2.1998 1.4511
3.0699 0.0000 0.0000
1.5467 0.2689 4.3944
0.0115 4.4321 2.9264
0.0289 2.5013 5.8698
0.0024 0.4932 2.4327
-1.5185 0.7688 6.8228
-1.5270 2.7126 3.9029
-1.5384 4.6636 0.9763
-3.0613 4.9339 5.3689
1.5392 -0.2317 1.9500
0.0159 0.0374 6.3448
0.0146 1.9826 3.4215
0.0070 3.9308 0.4890
-1.5145 4.2039 4.8865
3.0727 0.4971 2.4343
1.5512 0.7702 6.8319
1.5436 2.7185 3.8993
1.5423 4.6637 0.9761
0.0190 4.9327 5.3708
4.6195 -0.2329 1.9519
3.0967 0.0374 6.3446
3.0852 1.9885 3.4180
3.0767 3.9323 0.4980
1.5558 4.2078 4.8882
```


4.
Structure and simulated X-ray powder pattern of LiMg6B (a DFT-relaxed cell (PBE, the Materials Project); λ = 1.5418 Å (Cu Kα)).
Lines closer than 0.1° are merged.

Most intense lines, 2θ = 10–80°, in order of rising 2θ:
2θ 25.3, I 14.5; 2θ 33.4, I 27.5; 2θ 33.7, I 14.4; 2θ 38.3, I 33.6; 2θ 38.6, I 100.0; 2θ 38.9, I 46.9; 2θ 51.7, I 16.1; 2θ 60.1, I 16.1; 2θ 69.4, I 16.1; 2θ 73.5, I 16.8

Structure:
```
LiMg6B
1.0
4.7037 0.0000 0.0000
0.0000 3.1105 5.3164
0.0000 -3.1105 5.3164
Li Mg B
1 6 1
Cartesian
0.0000 0.0000 0.0000
0.0000 1.5430 7.9932
0.0000 -1.5430 7.9932
2.3518 -1.4956 6.1362
2.3518 0.0000 3.6376
2.3518 1.4956 6.1362
2.3518 0.0000 8.8941
0.0000 0.0000 5.3255
```